Entry 1:
This entry pairs a crystal structure of Li3Fe2Ni2O8 with its simulated powder diffraction line list. Radiation: copper Kα. Structure: a DFT-relaxed cell (GGA+U, the Materials Project).
No peak broadening, texture or thermal motion is included.

Most intense lines, 2θ from 15° to 90°, low angle first:
hkl 1 1 0, 2θ = 18.73°, I = 100
hkl 0 0 1, 2θ = 18.83°, I = 50
hkl 2 0 -1, 2θ = 18.98°, I = 38
hkl 2 0 1, 2θ = 35.84°, I = 17
hkl 2 2 -1, 2θ = 36.62°, I = 25
hkl 1 1 -2, 2θ = 36.82°, I = 12
hkl 3 1 -2, 2θ = 36.99°, I = 11
hkl 2 2 0, 2θ = 37.98°, I = 17
hkl 4 0 0, 2θ = 43.37°, I = 42
hkl 2 2 -2, 2θ = 44.84°, I = 77
hkl 2 2 2, 2θ = 63.93°, I = 21
hkl 6 2 -2, 2θ = 64.38°, I = 21

Structural model:
```
data_Li3Fe2Ni2O8
_chemical_formula_sum 'Li6 Fe4 Ni4 O16'
_space_group_name_H-M_alt 'C 1 2/m 1'
_space_group_IT_number 12
_cell_length_a 10.053
_cell_length_b 5.757
_cell_length_c 5.679
_cell_angle_alpha 90.00
_cell_angle_beta 123.89
_cell_angle_gamma 90.00
loop_
_space_group_symop_operation_xyz
'x,y,z'
'-x,-y,-z'
'-x,y,-z'
'x,-y,z'
'x+1/2,y+1/2,z'
'-x+1/2,-y+1/2,-z'
'-x+1/2,y+1/2,-z'
'x+1/2,-y+1/2,z'
loop_
_atom_site_label
_atom_site_fract_x
_atom_site_fract_y
_atom_site_fract_z
_atom_site_occupancy
Li1 0.000 0.000 0.000 1
Li2 0.250 0.250 0.500 1
Fe1 0.000 0.500 0.000 1
Fe2 0.000 0.500 0.500 1
Ni1 0.250 0.250 0.000 1
O1 0.004 0.279 0.759 1
O2 0.227 0.500 0.206 1
O3 0.232 0.500 0.746 1
```

=====

Entry 2:
This entry pairs a crystal structure of Li4Fe5Ni3O16 with its simulated powder diffraction line list. Radiation: copper Kα. Structure: a DFT-relaxed cell (GGA+U, the Materials Project).
No peak broadening, texture or thermal motion is included.

Most intense lines, 2θ from 15° to 90°, low angle first:
hkl 0 0 2, 2θ = 18.77°, I = 78
hkl 2 0 1, 2θ = 19.91°, I = 100
hkl 2 0 3, 2θ = 33.59°, I = 22
hkl 3 1 -2, 2θ = 35.92°, I = 22
hkl 0 2 2, 2θ = 36.21°, I = 41
hkl 4 0 1, 2θ = 36.73°, I = 36
hkl 2 2 1, 2θ = 36.85°, I = 22
hkl 4 0 2, 2θ = 40.40°, I = 22
hkl 2 2 -3, 2θ = 45.91°, I = 25
hkl 2 2 3, 2θ = 46.12°, I = 36
hkl 2 2 5, 2θ = 61.38°, I = 28
hkl 6 2 0, 2θ = 63.48°, I = 32

Structural model:
```
data_Li4Fe5Ni3O16
_chemical_formula_sum 'Li8 Fe10 Ni6 O32'
_space_group_name_H-M_alt 'C 1 m 1'
_space_group_IT_number 8
_cell_length_a 10.173
_cell_length_b 5.827
_cell_length_c 9.454
_cell_angle_alpha 90.00
_cell_angle_beta 90.56
_cell_angle_gamma 90.00
loop_
_space_group_symop_operation_xyz
'x,y,z'
'x,-y,z'
'x+1/2,y+1/2,z'
'x+1/2,-y+1/2,z'
loop_
_atom_site_label
_atom_site_fract_x
_atom_site_fract_y
_atom_site_fract_z
_atom_site_occupancy
Li1 0.000 0.000 0.000 1
Li2 0.004 0.000 0.504 1
Li3 0.163 0.500 0.101 1
Li4 0.335 0.000 0.604 1
Fe1 0.166 0.500 0.509 1
Fe2 0.328 0.500 0.782 1
Fe3 0.329 0.000 0.007 1
Fe4 0.414 0.246 0.282 1
Ni1 0.084 0.255 0.784 1
Ni2 0.169 0.000 0.285 1
O1 0.003 0.000 0.189 1
O2 0.003 0.000 0.693 1
O3 0.020 0.500 0.660 1
O4 0.082 0.250 0.399 1
O5 0.160 0.000 0.896 1
O6 0.161 0.500 0.889 1
O7 0.241 0.278 0.655 1
O8 0.257 0.223 0.154 1
O9 0.332 0.000 0.393 1
O10 0.335 0.500 0.398 1
O11 0.412 0.253 0.896 1
O12 0.480 0.000 0.154 1
```

=====

Entry 3:
This entry pairs a crystal structure of Li3Fe2NiO6 with its simulated powder diffraction line list. Radiation: copper Kα. Structure: a DFT-relaxed cell (GGA+U, the Materials Project).
No peak broadening, texture or thermal motion is included.

Most intense lines, 2θ from 15° to 90°, low angle first:
hkl 2 0 -1, 2θ = 18.23°, I = 100
hkl 4 0 1, 2θ = 35.14°, I = 16
hkl 1 1 1, 2θ = 35.88°, I = 28
hkl 3 1 0, 2θ = 37.29°, I = 10
hkl 6 0 0, 2θ = 42.42°, I = 28
hkl 1 1 -2, 2θ = 43.57°, I = 51
hkl 5 1 -1, 2θ = 47.11°, I = 11
hkl 3 1 -3, 2θ = 57.42°, I = 9
hkl 7 1 -2, 2θ = 62.28°, I = 15
hkl 5 1 2, 2θ = 62.60°, I = 15
hkl 2 0 -4, 2θ = 63.00°, I = 7
hkl 0 2 0, 2θ = 63.64°, I = 7

Structural model:
```
data_Li3Fe2NiO6
_chemical_formula_sum 'Li6 Fe4 Ni2 O12'
_space_group_name_H-M_alt 'C 1 2/m 1'
_space_group_IT_number 12
_cell_length_a 13.140
_cell_length_b 2.924
_cell_length_c 5.902
_cell_angle_alpha 90.00
_cell_angle_beta 103.35
_cell_angle_gamma 90.00
loop_
_space_group_symop_operation_xyz
'x,y,z'
'-x,-y,-z'
'-x,y,-z'
'x,-y,z'
'x+1/2,y+1/2,z'
'-x+1/2,-y+1/2,-z'
'-x+1/2,y+1/2,-z'
'x+1/2,-y+1/2,z'
loop_
_atom_site_label
_atom_site_fract_x
_atom_site_fract_y
_atom_site_fract_z
_atom_site_occupancy
Li1 0.000 0.000 0.000 1
Li2 0.164 0.500 0.334 1
Fe1 0.167 0.500 0.828 1
Ni1 0.000 0.000 0.500 1
O1 0.005 0.500 0.734 1
O2 0.165 0.000 0.597 1
O3 0.170 0.000 0.069 1
```

=====

Entry 4:
This entry pairs a crystal structure of Li2Fe3NiO8 with its simulated powder diffraction line list. Radiation: copper Kα. Structure: a DFT-relaxed cell (GGA+U, the Materials Project).
No peak broadening, texture or thermal motion is included.

Most intense lines, 2θ from 15° to 90°, low angle first:
hkl 0 0 1, 2θ = 18.10°, I = 100
hkl 2 2 -1, 2θ = 36.81°, I = 21
hkl 4 0 -1, 2θ = 37.10°, I = 11
hkl 4 0 -2, 2θ = 38.46°, I = 9
hkl 2 2 -2, 2θ = 44.03°, I = 34
hkl 4 0 0, 2θ = 44.50°, I = 17
hkl 2 2 1, 2θ = 48.19°, I = 6
hkl 2 2 -3, 2θ = 57.43°, I = 10
hkl 2 2 2, 2θ = 63.18°, I = 9
hkl 0 4 0, 2θ = 65.21°, I = 5
hkl 6 2 -2, 2θ = 65.59°, I = 9
hkl 4 4 0, 2θ = 82.39°, I = 6

Structural model:
```
data_Li2Fe3NiO8
_chemical_formula_sum 'Li4 Fe6 Ni2 O16'
_space_group_name_H-M_alt 'C 1 2/m 1'
_space_group_IT_number 12
_cell_length_a 9.845
_cell_length_b 5.723
_cell_length_c 5.923
_cell_angle_alpha 90.00
_cell_angle_beta 124.18
_cell_angle_gamma 90.00
loop_
_space_group_symop_operation_xyz
'x,y,z'
'-x,-y,-z'
'-x,y,-z'
'x,-y,z'
'x+1/2,y+1/2,z'
'-x+1/2,-y+1/2,-z'
'-x+1/2,y+1/2,-z'
'x+1/2,-y+1/2,z'
loop_
_atom_site_label
_atom_site_fract_x
_atom_site_fract_y
_atom_site_fract_z
_atom_site_occupancy
Li1 0.250 0.250 0.000 1
Fe1 0.000 0.000 0.500 1
Fe2 0.250 0.250 0.500 1
Ni1 0.000 0.500 0.500 1
O1 0.008 0.255 0.296 1
O2 0.231 0.500 0.707 1
O3 0.232 0.000 0.709 1
```

=====

Entry 5:
This entry pairs a crystal structure of Li2Fe3NiO8 with its simulated powder diffraction line list. Radiation: copper Kα. Structure: a DFT-relaxed cell (GGA+U, the Materials Project).
No peak broadening, texture or thermal motion is included.

Most intense lines, 2θ from 15° to 90°, low angle first:
hkl 1 1 -1, 2θ = 18.32°, I = 72
hkl 1 1 1, 2θ = 18.41°, I = 24
hkl 0 2 0, 2θ = 21.17°, I = 34
hkl 1 0 2, 2θ = 23.71°, I = 39
hkl 2 0 -2, 2θ = 30.12°, I = 32
hkl 1 -1 3, 2θ = 35.44°, I = 100
hkl -3 1 1, 2θ = 35.57°, I = 99
hkl 3 1 -1, 2θ = 35.71°, I = 39
hkl 0 0 4, 2θ = 43.10°, I = 58
hkl 4 0 0, 2θ = 43.37°, I = 29
hkl -1 5 1, 2θ = 56.97°, I = 39
hkl 0 4 4, 2θ = 62.67°, I = 61

Structural model:
```
data_Li2Fe3NiO8
_chemical_formula_sum 'Li8 Fe12 Ni4 O32'
_space_group_name_H-M_alt 'P 1'
_space_group_IT_number 1
_cell_length_a 8.345
_cell_length_b 8.388
_cell_length_c 8.402
_cell_angle_alpha 90.15
_cell_angle_beta 90.10
_cell_angle_gamma 90.35
loop_
_space_group_symop_operation_xyz
'x,y,z'
loop_
_atom_site_label
_atom_site_fract_x
_atom_site_fract_y
_atom_site_fract_z
_atom_site_occupancy
Li1 0.000 0.000 0.000 1
Li2 0.000 0.499 0.500 1
Li3 0.129 0.127 0.624 1
Li4 0.375 0.874 0.124 1
Li5 0.500 0.501 0.999 1
Li6 0.501 0.998 0.500 1
Li7 0.627 0.376 0.368 1
Li8 0.873 0.629 0.871 1
Fe1 0.126 0.374 0.863 1
Fe2 0.127 0.633 0.120 1
Fe3 0.134 0.877 0.371 1
Fe4 0.369 0.125 0.870 1
Fe5 0.374 0.627 0.368 1
Fe6 0.375 0.367 0.621 1
Fe7 0.625 0.128 0.129 1
Fe8 0.628 0.870 0.873 1
Fe9 0.631 0.625 0.625 1
Fe10 0.869 0.378 0.123 1
Fe11 0.875 0.132 0.374 1
Fe12 0.878 0.876 0.629 1
Ni1 0.249 0.254 0.245 1
Ni2 0.251 0.751 0.747 1
Ni3 0.749 0.752 0.246 1
Ni4 0.751 0.251 0.746 1
O1 0.111 0.397 0.099 1
O2 0.114 0.109 0.374 1
O3 0.116 0.868 0.614 1
O4 0.125 0.854 0.136 1
O5 0.136 0.617 0.880 1
O6 0.139 0.375 0.642 1
O7 0.142 0.634 0.364 1
O8 0.144 0.138 0.875 1
O9 0.361 0.624 0.144 1
O10 0.363 0.853 0.373 1
O11 0.364 0.365 0.862 1
O12 0.376 0.141 0.638 1
O13 0.376 0.394 0.388 1
O14 0.386 0.616 0.613 1
O15 0.386 0.887 0.865 1
O16 0.394 0.126 0.107 1
O17 0.603 0.629 0.385 1
O18 0.615 0.117 0.880 1
O19 0.617 0.387 0.631 1
O20 0.623 0.645 0.860 1
O21 0.627 0.891 0.104 1
O22 0.636 0.866 0.638 1
O23 0.641 0.124 0.355 1
O24 0.644 0.362 0.120 1
O25 0.856 0.641 0.618 1
O26 0.860 0.877 0.855 1
O27 0.863 0.137 0.134 1
O28 0.869 0.117 0.612 1
O29 0.878 0.355 0.360 1
O30 0.886 0.893 0.386 1
O31 0.888 0.368 0.879 1
O32 0.893 0.613 0.124 1
```

=====

Entry 6:
This entry pairs a crystal structure of LiFeNiO4 with its simulated powder diffraction line list. Radiation: copper Kα. Structure: a DFT-relaxed cell (GGA+U, the Materials Project).
No peak broadening, texture or thermal motion is included.

Most intense lines, 2θ from 15° to 90°, low angle first:
hkl 1 0 1, 2θ = 18.42°, I = 100
hkl 0 1 3, 2θ = 35.29°, I = 13
hkl 1 2 1, 2θ = 35.90°, I = 27
hkl 2 0 2, 2θ = 37.34°, I = 16
hkl 0 0 4, 2θ = 42.71°, I = 20
hkl 2 2 0, 2θ = 43.73°, I = 40
hkl 2 1 3, 2θ = 47.36°, I = 8
hkl 1 0 5, 2θ = 56.56°, I = 5
hkl 3 2 1, 2θ = 57.82°, I = 10
hkl 2 2 4, 2θ = 62.78°, I = 21
hkl 0 4 0, 2θ = 63.49°, I = 6
hkl 4 2 2, 2θ = 76.10°, I = 5

Structural model:
```
data_LiFeNiO4
_chemical_formula_sum 'Li4 Fe4 Ni4 O16'
_space_group_name_H-M_alt 'I m m a'
_space_group_IT_number 74
_space_group_name_Hall '-I 2b 2'
_cell_length_a 5.850
_cell_length_b 5.861
_cell_length_c 8.469
_cell_angle_alpha 90.00
_cell_angle_beta 90.00
_cell_angle_gamma 90.00
loop_
_atom_site_label
_atom_site_fract_x
_atom_site_fract_y
_atom_site_fract_z
_atom_site_occupancy
Li1 0.250 0.250 0.250 1
Fe1 0.000 0.000 0.000 1
Ni1 0.250 0.250 0.750 1
O1 0.000 0.010 0.777 1
O2 0.219 0.250 0.000 1
```

=====

Entry 7:
This entry pairs a crystal structure of Li3FeNi2O6 with its simulated powder diffraction line list. Radiation: copper Kα. Structure: a DFT-relaxed cell (GGA+U, the Materials Project).
No peak broadening, texture or thermal motion is included.

Most intense lines, 2θ from 15° to 90°, low angle first:
hkl 2 0 -1, 2θ = 18.29°, I = 100
hkl 4 0 1, 2θ = 35.58°, I = 16
hkl 1 1 1, 2θ = 36.09°, I = 27
hkl 3 1 0, 2θ = 37.49°, I = 10
hkl 6 0 0, 2θ = 42.82°, I = 27
hkl 1 1 -2, 2θ = 43.80°, I = 49
hkl 5 1 -1, 2θ = 47.33°, I = 11
hkl 3 1 -3, 2θ = 57.69°, I = 10
hkl 7 1 -2, 2θ = 62.55°, I = 14
hkl 5 1 2, 2θ = 63.29°, I = 14
hkl 2 0 -4, 2θ = 63.45°, I = 7
hkl 0 2 0, 2θ = 63.88°, I = 7

Structural model:
```
data_Li3FeNi2O6
_chemical_formula_sum 'Li6 Fe2 Ni4 O12'
_space_group_name_H-M_alt 'C 1 2/m 1'
_space_group_IT_number 12
_cell_length_a 13.050
_cell_length_b 2.915
_cell_length_c 5.865
_cell_angle_alpha 90.00
_cell_angle_beta 103.85
_cell_angle_gamma 90.00
loop_
_space_group_symop_operation_xyz
'x,y,z'
'-x,-y,-z'
'-x,y,-z'
'x,-y,z'
'x+1/2,y+1/2,z'
'-x+1/2,-y+1/2,-z'
'-x+1/2,y+1/2,-z'
'x+1/2,-y+1/2,z'
loop_
_atom_site_label
_atom_site_fract_x
_atom_site_fract_y
_atom_site_fract_z
_atom_site_occupancy
Li1 0.000 0.000 0.000 1
Li2 0.168 0.500 0.328 1
Fe1 0.000 0.000 0.500 1
Ni1 0.166 0.500 0.834 1
O1 0.001 0.500 0.737 1
O2 0.162 0.000 0.600 1
O3 0.171 0.000 0.065 1
```

=====

Entry 8:
This entry pairs a crystal structure of Li2Fe3NiO8 with its simulated powder diffraction line list. Radiation: copper Kα. Structure: a DFT-relaxed cell (GGA+U, the Materials Project).
No peak broadening, texture or thermal motion is included.

Most intense lines, 2θ from 15° to 90°, low angle first:
hkl 1 1 1, 2θ = 18.32°, I = 85
hkl 0 2 0, 2θ = 21.14°, I = 26
hkl 1 0 2, 2θ = 23.68°, I = 29
hkl 2 2 0, 2θ = 30.18°, I = 26
hkl 1 -1 3, 2θ = 35.42°, I = 100
hkl 1 1 -3, 2θ = 35.48°, I = 33
hkl 3 1 -1, 2θ = 35.65°, I = 62
hkl 0 0 4, 2θ = 43.04°, I = 48
hkl 4 0 0, 2θ = 43.39°, I = 23
hkl 1 5 1, 2θ = 56.90°, I = 29
hkl 0 4 -4, 2θ = 62.64°, I = 33
hkl 4 0 -4, 2θ = 62.84°, I = 32

Structural model:
```
data_Li2Fe3NiO8
_chemical_formula_sum 'Li8 Fe12 Ni4 O32'
_space_group_name_H-M_alt 'P 1'
_space_group_IT_number 1
_cell_length_a 8.342
_cell_length_b 8.404
_cell_length_c 8.410
_cell_angle_alpha 89.82
_cell_angle_beta 89.88
_cell_angle_gamma 89.88
loop_
_space_group_symop_operation_xyz
'x,y,z'
loop_
_atom_site_label
_atom_site_fract_x
_atom_site_fract_y
_atom_site_fract_z
_atom_site_occupancy
Li1 0.000 0.000 0.000 1
Li2 0.001 0.502 0.504 1
Li3 0.126 0.626 0.121 1
Li4 0.371 0.376 0.624 1
Li5 0.499 0.502 0.003 1
Li6 0.502 0.008 0.506 1
Li7 0.623 0.876 0.869 1
Li8 0.872 0.127 0.373 1
Fe1 0.121 0.131 0.618 1
Fe2 0.125 0.375 0.871 1
Fe3 0.128 0.877 0.369 1
Fe4 0.369 0.626 0.373 1
Fe5 0.369 0.872 0.121 1
Fe6 0.371 0.128 0.865 1
Fe7 0.622 0.626 0.625 1
Fe8 0.625 0.125 0.122 1
Fe9 0.625 0.370 0.373 1
Fe10 0.871 0.630 0.875 1
Fe11 0.872 0.874 0.626 1
Fe12 0.873 0.374 0.127 1
Ni1 0.246 0.752 0.751 1
Ni2 0.250 0.252 0.247 1
Ni3 0.744 0.250 0.742 1
Ni4 0.747 0.754 0.244 1
O1 0.103 0.608 0.871 1
O2 0.107 0.885 0.613 1
O3 0.110 0.372 0.101 1
O4 0.120 0.362 0.650 1
O5 0.122 0.116 0.385 1
O6 0.141 0.135 0.865 1
O7 0.148 0.874 0.136 1
O8 0.150 0.636 0.372 1
O9 0.355 0.873 0.366 1
O10 0.358 0.355 0.874 1
O11 0.361 0.127 0.648 1
O12 0.372 0.899 0.880 1
O13 0.373 0.649 0.140 1
O14 0.381 0.112 0.105 1
O15 0.386 0.630 0.607 1
O16 0.395 0.387 0.372 1
O17 0.597 0.130 0.879 1
O18 0.598 0.889 0.125 1
O19 0.607 0.611 0.376 1
O20 0.621 0.152 0.361 1
O21 0.623 0.385 0.595 1
O22 0.627 0.367 0.145 1
O23 0.647 0.622 0.859 1
O24 0.651 0.861 0.615 1
O25 0.849 0.381 0.361 1
O26 0.851 0.140 0.116 1
O27 0.867 0.641 0.641 1
O28 0.871 0.615 0.102 1
O29 0.875 0.848 0.868 1
O30 0.879 0.101 0.626 1
O31 0.881 0.395 0.883 1
O32 0.905 0.863 0.375 1
```